No. 1
The following is a theoretical powder diffractogram of Cd6Ag. It was derived from a DFT-relaxed cell (GGA-PBE, Alexandria), using Cu Kα (weighted mean of Kα1 and Kα2).
Peak positions follow from Bragg's law for the DFT cell and can differ from measured ones.

Most intense lines, 2θ = 10–80°, low angle first:
d [Å]  intensity
3.408  23
2.729  100
2.595  61
2.556  29
2.458  44
2.269  57
2.178  29
2.002  28
1.467  35
1.298  22

Structure:
a b c (Å): 5.6626 5.6626 10.2250
angles (deg): 90.00 90.00 90.00
Fractional coordinates of all 14 atoms:
1 Cd 0.0695 0.5695 0.1398
2 Cd 0.0695 0.9305 0.8602
3 Cd 0.2500 0.2500 0.3633
4 Cd 0.2500 0.2500 0.6367
5 Cd 0.4305 0.5695 0.8602
6 Cd 0.4305 0.9305 0.1398
7 Cd 0.5695 0.0695 0.8602
8 Cd 0.5695 0.4305 0.1398
9 Cd 0.7500 0.7500 0.3633
10 Cd 0.7500 0.7500 0.6367
11 Cd 0.9305 0.0695 0.1398
12 Cd 0.9305 0.4305 0.8602
13 Ag 0.2500 0.7500 0.5000
14 Ag 0.7500 0.2500 0.5000


No. 2
The following is a theoretical powder diffractogram of Cd12Ag17. It was derived from a DFT-relaxed cell (GGA-PBE, Alexandria), using Cu Kα (weighted mean of Kα1 and Kα2).
Peak positions follow from Bragg's law for the DFT cell and can differ from measured ones.

Most intense lines, 2θ = 10–80°, low angle first:
d [Å]  intensity
2.607  16
2.457  100
2.223  34
2.128  12
2.045  22
1.474  13
1.419  20
1.393  7
1.369  6
1.212  8

Structure:
a b c (Å): 9.0294 9.0294 9.0294
angles (deg): 109.47 109.47 109.47
Fractional coordinates of all 29 atoms:
1 Cd 0.0000 0.6144 0.8053
2 Cd 0.0000 0.8053 0.6144
3 Cd 0.1909 0.3856 0.3856
4 Cd 0.1947 0.1947 0.8091
5 Cd 0.1947 0.8091 0.1947
6 Cd 0.3856 0.1909 0.3856
7 Cd 0.3856 0.3856 0.1909
8 Cd 0.6144 0.0000 0.8053
9 Cd 0.6144 0.8053 0.0000
10 Cd 0.8053 0.0000 0.6144
11 Cd 0.8053 0.6144 0.0000
12 Cd 0.8091 0.1947 0.1947
13 Ag 0.0000 0.0000 0.0000
14 Ag 0.0000 0.0000 0.3422
15 Ag 0.0000 0.3103 0.5852
16 Ag 0.0000 0.3422 0.0000
17 Ag 0.0000 0.5852 0.3103
18 Ag 0.2750 0.6897 0.6897
19 Ag 0.3103 0.0000 0.5852
20 Ag 0.3103 0.5852 0.0000
21 Ag 0.3422 0.0000 0.0000
22 Ag 0.4148 0.4148 0.7250
23 Ag 0.4148 0.7250 0.4148
24 Ag 0.5852 0.0000 0.3103
25 Ag 0.5852 0.3103 0.0000
26 Ag 0.6578 0.6578 0.6578
27 Ag 0.6897 0.2750 0.6897
28 Ag 0.6897 0.6897 0.2750
29 Ag 0.7250 0.4148 0.4148


No. 3
The following is a theoretical powder diffractogram of Cd2Ag3. It was derived from a DFT-relaxed cell (GGA-PBE, Alexandria), using Cu Kα (weighted mean of Kα1 and Kα2).
Peak positions follow from Bragg's law for the DFT cell and can differ from measured ones.

Most intense lines, 2θ = 10–80°, low angle first:
d [Å]  intensity
2.474  23
2.434  100
2.424  31
2.402  74
2.334  26
2.274  15
1.998  35
1.518  16
1.386  12
1.357  13

Structure:
a b c (Å): 7.5737 5.6591 8.6190
angles (deg): 59.88 40.26 79.86
Fractional coordinates of all 10 atoms:
1 Cd 0.0174 0.4826 0.0825
2 Cd 0.1675 0.8325 0.2326
3 Cd 0.4826 0.0174 0.4175
4 Cd 0.8325 0.1675 0.7674
5 Ag 0.0786 0.0786 0.9214
6 Ag 0.3286 0.3286 0.1714
7 Ag 0.4813 0.5895 0.3190
8 Ag 0.5895 0.4813 0.6102
9 Ag 0.6398 0.9310 0.6605
10 Ag 0.9310 0.6398 0.7687


No. 4
The following is a theoretical powder diffractogram of Cd2Ag3. It was derived from a DFT-relaxed cell (GGA-PBE, Alexandria), using Cu Kα (weighted mean of Kα1 and Kα2).
Peak positions follow from Bragg's law for the DFT cell and can differ from measured ones.

Most intense lines, 2θ = 10–80°, low angle first:
d [Å]  intensity
2.447  100
2.173  35
2.022  14
1.537  11
1.480  19
1.301  25
1.235  10
1.224  10

Structure:
a b c (Å): 10.3421 10.3421 10.3421
angles (deg): 162.91 162.91 24.26
Fractional coordinates of all 5 atoms:
1 Cd 0.1016 0.1016 0.0000
2 Cd 0.8984 0.8984 0.0000
3 Ag 0.2982 0.2982 0.0000
4 Ag 0.5000 0.5000 0.0000
5 Ag 0.7018 0.7018 0.0000


No. 5
The following is a theoretical powder diffractogram of Cd7Ag5. It was derived from a DFT-relaxed cell (GGA-PBE, Alexandria), using Cu Kα (weighted mean of Kα1 and Kα2).
Peak positions follow from Bragg's law for the DFT cell and can differ from measured ones.

Most intense lines, 2θ = 10–80°, low angle first:
d [Å]  intensity
2.565  44
2.531  21
2.458  51
2.337  100
2.312  49
2.064  23
1.519  22
1.395  18
1.306  13
1.282  14

Structure:
a b c (Å): 8.0082 8.0082 11.1307
angles (deg): 117.39 117.39 22.19
Fractional coordinates of all 12 atoms:
1 Cd 0.0000 0.0000 0.0000
2 Cd 0.1439 0.1439 0.7591
3 Cd 0.1683 0.1683 0.5076
4 Cd 0.4698 0.4698 0.7476
5 Cd 0.5302 0.5302 0.2524
6 Cd 0.8317 0.8317 0.4924
7 Cd 0.8561 0.8561 0.2409
8 Ag 0.1929 0.1929 0.2457
9 Ag 0.3334 0.3334 0.9994
10 Ag 0.5000 0.5000 0.5000
11 Ag 0.6666 0.6666 0.0006
12 Ag 0.8071 0.8071 0.7543


No. 6
The following is a theoretical powder diffractogram of Cd24Ag5. It was derived from a DFT-relaxed cell (GGA-PBE, Alexandria), using Cu Kα (weighted mean of Kα1 and Kα2).
Peak positions follow from Bragg's law for the DFT cell and can differ from measured ones.

Most intense lines, 2θ = 10–80°, low angle first:
d [Å]  intensity
2.707  23
2.552  100
2.308  44
2.210  14
2.123  27
1.531  14
1.473  18
1.447  12
1.422  11
1.259  12

Structure:
a b c (Å): 9.3768 9.3768 9.3768
angles (deg): 109.47 109.47 109.47
Fractional coordinates of all 29 atoms:
1 Cd 0.0000 0.3040 0.5783
2 Cd 0.0000 0.5783 0.3040
3 Cd 0.0000 0.6212 0.8104
4 Cd 0.0000 0.8104 0.6212
5 Cd 0.1891 0.3788 0.3788
6 Cd 0.1897 0.1897 0.8109
7 Cd 0.1897 0.8109 0.1897
8 Cd 0.2744 0.6960 0.6960
9 Cd 0.3040 0.0000 0.5783
10 Cd 0.3040 0.5783 0.0000
11 Cd 0.3788 0.1891 0.3788
12 Cd 0.3788 0.3788 0.1891
13 Cd 0.4217 0.4217 0.7256
14 Cd 0.4217 0.7256 0.4217
15 Cd 0.5783 0.0000 0.3040
16 Cd 0.5783 0.3040 0.0000
17 Cd 0.6212 0.0000 0.8104
18 Cd 0.6212 0.8104 0.0000
19 Cd 0.6960 0.2744 0.6960
20 Cd 0.6960 0.6960 0.2744
21 Cd 0.7256 0.4217 0.4217
22 Cd 0.8104 0.0000 0.6212
23 Cd 0.8104 0.6212 0.0000
24 Cd 0.8109 0.1897 0.1897
25 Ag 0.0000 0.0000 0.0000
26 Ag 0.0000 0.0000 0.3132
27 Ag 0.0000 0.3132 0.0000
28 Ag 0.3132 0.0000 0.0000
29 Ag 0.6868 0.6868 0.6868


No. 7
The following is a theoretical powder diffractogram of Cd3Ag2. It was derived from a DFT-relaxed cell (GGA-PBE, Alexandria), using Cu Kα (weighted mean of Kα1 and Kα2).
Peak positions follow from Bragg's law for the DFT cell and can differ from measured ones.

Most intense lines, 2θ = 10–80°, low angle first:
d [Å]  intensity
5.718  10
4.088  16
3.325  21
2.360  95
2.343  100
1.663  33
1.363  15
1.359  33
1.349  12
1.223  6

Structure:
a b c (Å): 4.7202 4.7202 5.7184
angles (deg): 90.00 90.00 120.00
Fractional coordinates of all 5 atoms:
1 Cd 0.0000 0.0000 0.0000
2 Cd 0.3333 0.6667 0.3628
3 Cd 0.6667 0.3333 0.6372
4 Ag 0.3333 0.6667 0.8577
5 Ag 0.6667 0.3333 0.1423


No. 8
The following is a theoretical powder diffractogram of Cd7Ag6. It was derived from a DFT-relaxed cell (GGA-PBE, Alexandria), using Cu Kα (weighted mean of Kα1 and Kα2).
Peak positions follow from Bragg's law for the DFT cell and can differ from measured ones.

Most intense lines, 2θ = 10–80°, low angle first:
d [Å]  intensity
2.838  32
2.485  24
2.445  100
2.400  20
2.311  29
2.261  34
2.110  23
1.551  15
1.419  25
1.394  21

Structure:
a b c (Å): 10.1427 10.1427 10.1427
angles (deg): 32.50 32.50 32.50
Fractional coordinates of all 13 atoms:
1 Cd 0.0000 0.0000 0.0000
2 Cd 0.0869 0.0869 0.5804
3 Cd 0.0869 0.5804 0.0869
4 Cd 0.4196 0.9131 0.9131
5 Cd 0.5804 0.0869 0.0869
6 Cd 0.9131 0.4196 0.9131
7 Cd 0.9131 0.9131 0.4196
8 Ag 0.1661 0.1661 0.1661
9 Ag 0.3461 0.3461 0.3461
10 Ag 0.4508 0.4508 0.4508
11 Ag 0.5492 0.5492 0.5492
12 Ag 0.6539 0.6539 0.6539
13 Ag 0.8339 0.8339 0.8339


No. 9
The following is a theoretical powder diffractogram of Cd3Ag7. It was derived from a DFT-relaxed cell (GGA-PBE, Alexandria), using Cu Kα (weighted mean of Kα1 and Kα2).
Peak positions follow from Bragg's law for the DFT cell and can differ from measured ones.

Most intense lines, 2θ = 10–80°, low angle first:
d [Å]  intensity
2.441  100
2.424  98
2.139  34
2.099  32
2.083  31
1.498  20
1.492  20
1.286  12
1.283  12
1.264  22

Structure:
a b c (Å): 7.8625 7.8625 5.8849
angles (deg): 100.36 100.36 31.57
Fractional coordinates of all 10 atoms:
1 Cd 0.0000 0.0000 0.0000
2 Cd 0.1979 0.1979 0.6077
3 Cd 0.8021 0.8021 0.3923
4 Ag 0.0000 0.0000 0.5000
5 Ag 0.2002 0.2002 0.1028
6 Ag 0.4001 0.4001 0.6965
7 Ag 0.4012 0.4012 0.1963
8 Ag 0.5988 0.5988 0.8037
9 Ag 0.5999 0.5999 0.3035
10 Ag 0.7998 0.7998 0.8972


No. 10
The following is a theoretical powder diffractogram of Cd3Ag. It was derived from a DFT-relaxed cell (GGA-PBE, Alexandria), using Cu Kα (weighted mean of Kα1 and Kα2).
Peak positions follow from Bragg's law for the DFT cell and can differ from measured ones.

Most intense lines, 2θ = 10–80°, low angle first:
d [Å]  intensity
5.391  100
3.113  36
2.696  72
2.411  52
1.906  50
1.797  26
1.625  15
1.556  17
1.308  14
1.205  21

Structure:
a b c (Å): 5.3912 5.3912 5.3912
angles (deg): 90.00 90.00 90.00
Fractional coordinates of all 4 atoms:
1 Cd 0.0000 0.0000 0.5000
2 Cd 0.0000 0.5000 0.0000
3 Cd 0.5000 0.0000 0.0000
4 Ag 0.0000 0.0000 0.0000


No. 11
The following is a theoretical powder diffractogram of Cd5Ag. It was derived from a DFT-relaxed cell (GGA-PBE, Alexandria), using Cu Kα (weighted mean of Kα1 and Kα2).
Peak positions follow from Bragg's law for the DFT cell and can differ from measured ones.

Most intense lines, 2θ = 10–80°, low angle first:
d [Å]  intensity
2.750  46
2.714  25
2.433  68
2.404  100
2.391  47
2.383  97
2.350  45
1.831  21
1.574  33
1.404  25

Structure:
a b c (Å): 5.7505 5.7505 7.3638
angles (deg): 102.58 102.58 32.20
Fractional coordinates of all 6 atoms:
1 Cd 0.0000 0.0000 0.0000
2 Cd 0.0506 0.0506 0.6173
3 Cd 0.3899 0.3899 0.2843
4 Cd 0.6712 0.6712 0.3477
5 Cd 0.7252 0.7252 0.9399
6 Ag 0.3311 0.3311 0.6685


No. 12
The following is a theoretical powder diffractogram of Cd4Ag. It was derived from a DFT-relaxed cell (GGA-PBE, Alexandria), using Cu Kα (weighted mean of Kα1 and Kα2).
Peak positions follow from Bragg's law for the DFT cell and can differ from measured ones.

Most intense lines, 2θ = 10–80°, low angle first:
d [Å]  intensity
2.531  100
2.221  17
2.178  32
1.555  21
1.540  10
1.335  12
1.316  23
1.266  10

Structure:
a b c (Å): 5.3528 5.3528 5.3528
angles (deg): 99.92 99.92 130.97
Fractional coordinates of all 5 atoms:
1 Cd 0.1037 0.7028 0.8065
2 Cd 0.2972 0.1037 0.4009
3 Cd 0.7028 0.8963 0.5991
4 Cd 0.8963 0.2972 0.1935
5 Ag 0.5000 0.5000 0.0000


No. 13
The following is a theoretical powder diffractogram of Cd3Ag2. It was derived from a DFT-relaxed cell (GGA-PBE, Alexandria), using Cu Kα (weighted mean of Kα1 and Kα2).
Peak positions follow from Bragg's law for the DFT cell and can differ from measured ones.

Most intense lines, 2θ = 10–80°, low angle first:
d [Å]  intensity
2.496  34
2.476  100
2.183  46
2.084  20
1.513  13
1.502  13
1.315  8
1.311  8
1.308  16
1.266  7

Structure:
a b c (Å): 5.2953 5.2953 7.4937
angles (deg): 120.39 120.39 33.83
Fractional coordinates of all 5 atoms:
1 Cd 0.0000 0.0000 0.0000
2 Cd 0.4015 0.4015 0.5945
3 Cd 0.5985 0.5985 0.4055
4 Ag 0.2022 0.2022 0.8057
5 Ag 0.7978 0.7978 0.1943